# Zn2Ni9O13
Calculated PXRD pattern, CuKα. Input: a crystal structure in Alexandria, relaxed with GGA+U.
Peak positions follow from Bragg's law for the DFT cell and can differ from measured ones.

Most intense lines, 2θ = 15–90°, by angle:
Position (°2θ), Rel. int.
35.4, 1000
35.5, 915
36.8, 553
37.0, 460
42.9, 490
43.6, 809
44.6, 550
45.6, 419
64.3, 379
75.6, 411

Cell and atoms:
Lattice parameters (Å, degrees): 5.096 5.096 16.454 98.38 98.38 33.04
Positions (direct):
Zn  0.215  0.215  0.228
Zn  0.785  0.785  0.772
Ni  0.007  0.007  0.665
Ni  0.064  0.064  0.876
Ni  0.250  0.250  0.582
Ni  0.353  0.353  0.960
Ni  0.500  0.500  0.500
Ni  0.647  0.647  0.040
Ni  0.750  0.750  0.418
Ni  0.936  0.936  0.124
Ni  0.993  0.993  0.335
O  0.000  0.000  0.000
O  0.129  0.129  0.463
O  0.139  0.139  0.770
O  0.295  0.295  0.068
O  0.374  0.374  0.689
O  0.386  0.386  0.390
O  0.413  0.413  0.854
O  0.587  0.587  0.146
O  0.614  0.614  0.610
O  0.626  0.626  0.311
O  0.705  0.705  0.932
O  0.861  0.861  0.230
O  0.871  0.871  0.537